Calculated powder diffraction line list of La4Cu3TeO12 for Cu Kα, from a crystal structure in the Materials Project, relaxed with GGA-PBE.

Most intense lines, 10 to 80 degrees two-theta, by angle:
2.812 Å, 2θ = 31.8°, intensity 100; 2.296 Å, 2θ = 39.2°, intensity 10; 1.988 Å, 2θ = 45.6°, intensity 31; 1.623 Å, 2θ = 56.7°, intensity 39; 1.406 Å, 2θ = 66.5°, intensity 19; 1.257 Å, 2θ = 75.6°, intensity 17

Cell: 6.887 6.887 6.887 Å, 109.47 109.47 109.47°
Atoms (fractional coordinates):
La (0.000, 0.000, 0.500)
La (0.000, 0.500, 0.000)
La (0.500, 0.000, 0.000)
La (0.500, 0.500, 0.500)
Cu (0.000, 0.500, 0.500)
Cu (0.500, 0.000, 0.500)
Cu (0.500, 0.500, 0.000)
Te (0.000, 0.000, 0.000)
O (0.000, 0.242, 0.242)
O (0.000, 0.758, 0.758)
O (0.242, 0.000, 0.242)
O (0.242, 0.242, 0.000)
O (0.250, 0.500, 0.750)
O (0.250, 0.750, 0.500)
O (0.500, 0.250, 0.750)
O (0.500, 0.750, 0.250)
O (0.750, 0.250, 0.500)
O (0.750, 0.500, 0.250)
O (0.758, 0.000, 0.758)
O (0.758, 0.758, 0.000)